For Na10B13C7, the PBE geometry in Alexandria gives the calculated X-ray powder pattern in this record (Cu Kα, 1.54184 Å).
Peak positions follow from Bragg's law for the DFT cell and can differ from measured ones.

Main lines, low angle first (10 to 80 degrees two-theta):
- 35.9°, d 2.504, rel. 19.9
- 36.3°, d 2.478, rel. 8.0
- 41.8°, d 2.160, rel. 100.0
- 42.2°, d 2.143, rel. 53.1
- 42.4°, d 2.133, rel. 38.8
- 64.2°, d 1.451, rel. 9.0
- 65.0°, d 1.436, rel. 17.3
- 77.2°, d 1.236, rel. 9.3
- 77.4°, d 1.233, rel. 6.7
- 79.9°, d 1.201, rel. 13.3

Structural model:
```
Na10B13C7
1.0
4.956 0.000 0.000
-2.473 7.254 0.000
-0.005 -2.914 8.533
Na B C
10 13 7
direct
0.000 0.000 0.000
0.099 0.197 0.493
0.198 0.398 0.997
0.297 0.597 0.494
0.399 0.800 0.000
0.498 0.997 0.493
0.599 0.199 0.999
0.699 0.398 0.493
0.799 0.600 0.996
0.898 0.798 0.494
0.034 0.684 0.746
0.183 0.698 0.245
0.219 0.110 0.746
0.267 0.896 0.746
0.366 0.099 0.247
0.407 0.488 0.746
0.583 0.498 0.245
0.650 0.914 0.746
0.669 0.701 0.745
0.717 0.099 0.247
0.780 0.887 0.246
0.811 0.299 0.746
0.991 0.310 0.246
0.071 0.489 0.747
0.115 0.896 0.247
0.317 0.301 0.246
0.477 0.299 0.747
0.517 0.692 0.245
0.882 0.108 0.746
0.923 0.503 0.244
```